The following is a theoretical X-ray powder pattern of Dy2GeHPd6. It was derived from a cell relaxed with GGA-PBE, using Cu Kα X-rays.

Structure:
Cell lengths 5.673, 5.689, 6.817 Å; angles 65.60, 65.52, 60.19 degrees
Fractional coordinates of all 10 atoms:
Dy  0.222  0.227  0.329
Dy  0.778  0.773  0.671
Ge  0.500  0.500  0.500
H  0.000  0.000  0.000
Pd  0.230  0.726  0.813
Pd  0.232  0.226  0.805
Pd  0.265  0.775  0.194
Pd  0.735  0.225  0.806
Pd  0.768  0.774  0.195
Pd  0.770  0.274  0.187

Largest 10 diffraction maxima, by angle, 2θ from 10° to 80°:
d (Å)	two_theta	Rel. int.
2.993	29.85	35
2.902	30.81	23
2.572	34.88	20
2.564	34.99	18
2.382	37.77	40
2.371	37.95	80
2.277	39.58	27
2.272	39.67	14
2.159	41.84	100
1.550	59.66	15

---

The following is a theoretical X-ray powder pattern of Dy3HgGe2. It was derived from a cell relaxed with GGA-PBE, using Cu Kα X-rays.

Structure:
Cell lengths 7.788, 7.788, 7.788 Å; angles 58.00, 58.00, 58.00 degrees
Fractional coordinates of all 12 atoms:
Dy  0.053  0.750  0.447
Dy  0.250  0.553  0.947
Dy  0.447  0.053  0.750
Dy  0.553  0.947  0.250
Dy  0.750  0.447  0.053
Dy  0.947  0.250  0.553
Hg  0.000  0.000  0.000
Hg  0.500  0.500  0.500
Ge  0.157  0.157  0.157
Ge  0.343  0.343  0.343
Ge  0.657  0.657  0.657
Ge  0.843  0.843  0.843

Largest 10 diffraction maxima, by angle, 2θ from 10° to 80°:
d (Å)	two_theta	Rel. int.
3.890	22.86	11
3.259	27.37	100
3.098	28.82	15
2.453	36.64	100
2.180	41.42	63
1.869	48.72	21
1.812	50.36	15
1.629	56.47	26
1.305	72.41	21
1.297	72.95	23

---

The following is a theoretical X-ray powder pattern of Dy5Hg2Ge2. It was derived from a cell relaxed with GGA-PBE, using Cu Kα X-rays.

Structure:
Cell lengths 8.769, 8.769, 7.674 Å; angles 90.00, 90.00, 51.78 degrees
Fractional coordinates of all 18 atoms:
Dy  0.000  0.000  0.000
Dy  0.049  0.694  0.671
Dy  0.194  0.549  0.171
Dy  0.306  0.951  0.671
Dy  0.451  0.806  0.171
Dy  0.500  0.500  0.500
Dy  0.549  0.194  0.829
Dy  0.694  0.049  0.329
Dy  0.806  0.451  0.829
Dy  0.951  0.306  0.329
Hg  0.214  0.214  0.000
Hg  0.286  0.286  0.500
Hg  0.714  0.714  0.500
Hg  0.786  0.786  0.000
Ge  0.129  0.871  0.368
Ge  0.371  0.629  0.868
Ge  0.629  0.371  0.132
Ge  0.871  0.129  0.632

Largest 10 diffraction maxima, by angle, 2θ from 10° to 80°:
d (Å)	two_theta	Rel. int.
2.873	31.13	43
2.749	32.58	100
2.727	32.84	48
2.710	33.05	49
2.587	34.68	44
2.396	37.54	66
1.922	47.28	22
1.714	53.45	21
1.568	58.90	22
1.420	65.74	26

---

The following is a theoretical X-ray powder pattern of DyHgGe. It was derived from a cell relaxed with GGA-PBE, using Cu Kα X-rays.

Structure:
Cell lengths 8.715, 8.715, 3.958 Å; angles 90.00, 90.00, 152.18 degrees
Fractional coordinates of all 6 atoms:
Dy  0.094  0.906  0.750
Dy  0.906  0.094  0.250
Hg  0.283  0.717  0.750
Hg  0.717  0.283  0.250
Ge  0.450  0.550  0.750
Ge  0.550  0.450  0.250

Largest 10 diffraction maxima, by angle, 2θ from 10° to 80°:
d (Å)	two_theta	Rel. int.
2.890	30.94	19
2.837	31.54	100
2.633	34.06	46
2.296	39.23	31
2.192	41.18	22
2.095	43.19	27
1.979	45.86	18
1.582	58.33	20
1.548	59.75	18
1.439	64.81	16

---

The following is a theoretical X-ray powder pattern of Dy6HgGe2Te3. It was derived from a cell relaxed with GGA-PBE, using Cu Kα X-rays.

Structure:
Cell lengths 9.665, 9.665, 8.710 Å; angles 105.13, 105.13, 25.36 degrees
Fractional coordinates of all 12 atoms:
Dy  0.007  0.007  0.254
Dy  0.326  0.326  0.436
Dy  0.332  0.332  0.896
Dy  0.668  0.668  0.104
Dy  0.674  0.674  0.564
Dy  0.993  0.993  0.746
Hg  0.500  0.500  0.000
Ge  0.166  0.166  0.330
Ge  0.834  0.834  0.670
Te  0.165  0.165  0.830
Te  0.500  0.500  0.500
Te  0.835  0.835  0.170

Largest 10 diffraction maxima, by angle, 2θ from 10° to 80°:
d (Å)	two_theta	Rel. int.
3.035	29.43	100
2.175	41.53	37
2.122	42.61	13
2.117	42.71	24
1.800	50.72	6
1.737	52.69	19
1.519	60.99	8
1.373	68.34	10
1.345	69.93	6
1.234	77.31	8

---

The following is a theoretical X-ray powder pattern of Dy4Ho2Ge3O2. It was derived from a cell relaxed with GGA-PBE, using Cu Kα X-rays.

Structure:
Cell lengths 12.195, 12.195, 12.195 Å; angles 158.54, 158.54, 30.53 degrees
Fractional coordinates of all 11 atoms:
Dy  0.081  0.581  0.500
Dy  0.419  0.919  0.500
Dy  0.581  0.081  0.500
Dy  0.919  0.419  0.500
Ho  0.198  0.198  0.000
Ho  0.802  0.802  0.000
Ge  0.324  0.324  0.000
Ge  0.500  0.500  0.000
Ge  0.676  0.676  0.000
O  0.100  0.100  0.000
O  0.900  0.900  0.000

Largest 10 diffraction maxima, by angle, 2θ from 10° to 80°:
d (Å)	two_theta	Rel. int.
3.927	22.64	26
3.098	28.82	72
2.941	30.39	22
2.818	31.75	22
2.702	33.16	17
2.484	36.15	100
2.270	39.70	66
1.797	50.80	21
1.605	57.39	23
1.348	69.74	30

---

The following is a theoretical X-ray powder pattern of DyHoGePt. It was derived from a cell relaxed with GGA-PBE, using Cu Kα X-rays.

Structure:
Cell lengths 4.264, 5.761, 5.761 Å; angles 39.69, 90.00, 90.00 degrees
Fractional coordinates of all 4 atoms:
Dy  0.000  0.000  0.000
Ho  0.500  0.279  0.279
Ge  0.000  0.721  0.721
Pt  0.500  0.555  0.555

Largest 10 diffraction maxima, by angle, 2θ from 10° to 80°:
d (Å)	two_theta	Rel. int.
2.786	32.13	100
2.710	33.06	30
2.654	33.77	26
2.287	39.40	23
2.253	40.01	64
2.132	42.40	26
1.956	46.42	20
1.676	54.79	14
1.663	55.25	19
1.441	64.71	28

---

The following is a theoretical X-ray powder pattern of Dy2GeI. It was derived from a cell relaxed with GGA-PBE, using Cu Kα X-rays.

Structure:
Cell lengths 7.783, 7.783, 7.783 Å; angles 31.64, 31.64, 31.64 degrees
Fractional coordinates of all 4 atoms:
Dy  0.231  0.231  0.231
Dy  0.769  0.769  0.769
Ge  0.500  0.500  0.500
I  0.000  0.000  0.000

Largest 10 diffraction maxima, by angle, 2θ from 10° to 80°:
d (Å)	two_theta	Rel. int.
3.062	29.16	100
2.829	31.63	18
2.462	36.49	8
2.212	40.79	26
2.122	42.61	41
1.744	52.47	19
1.607	57.32	14
1.531	60.46	8
1.347	69.81	16
1.242	76.76	8

---

The following is a theoretical X-ray powder pattern of Dy4Ge2I3. It was derived from a cell relaxed with GGA-PBE, using Cu Kα X-rays.

Structure:
Cell lengths 4.238, 4.238, 18.644 Å; angles 90.00, 90.00, 120.00 degrees
Fractional coordinates of all 9 atoms:
Dy  0.000  0.000  0.218
Dy  0.000  0.000  0.782
Dy  0.333  0.667  0.379
Dy  0.667  0.333  0.621
Ge  0.333  0.667  0.697
Ge  0.667  0.333  0.303
I  0.000  0.000  0.500
I  0.333  0.667  0.111
I  0.667  0.333  0.889

Largest 10 diffraction maxima, by angle, 2θ from 10° to 80°:
d (Å)	two_theta	Rel. int.
3.601	24.73	16
3.160	28.24	100
2.883	31.02	76
2.616	34.28	15
2.156	41.91	41
2.119	42.67	57
1.760	51.96	18
1.707	53.68	16
1.354	69.42	15
1.329	70.88	14

---

The following is a theoretical X-ray powder pattern of Dy7In2Ge2. It was derived from a cell relaxed with GGA-PBE, using Cu Kα X-rays.

Structure:
Cell lengths 6.849, 6.849, 7.126 Å; angles 90.00, 90.00, 105.79 degrees
Fractional coordinates of all 11 atoms:
Dy  0.000  0.000  0.000
Dy  0.000  0.500  0.268
Dy  0.000  0.500  0.732
Dy  0.500  0.000  0.268
Dy  0.500  0.000  0.732
Dy  0.500  0.500  0.253
Dy  0.500  0.500  0.747
In  0.175  0.175  0.500
In  0.825  0.825  0.500
Ge  0.281  0.719  0.000
Ge  0.719  0.281  0.000

Largest 10 diffraction maxima, by angle, 2θ from 10° to 80°:
d (Å)	two_theta	Rel. int.
3.572	24.93	43
3.295	27.06	72
3.134	28.48	56
2.984	29.94	26
2.731	32.79	67
2.434	36.93	40
2.419	37.16	100
2.169	41.63	21
2.066	43.82	20
1.509	61.43	20

---

The following is a theoretical X-ray powder pattern of Dy2InGe2Rh5. It was derived from a cell relaxed with GGA-PBE, using Cu Kα X-rays.

Structure:
Cell lengths 9.843, 9.843, 3.613 Å; angles 90.00, 90.00, 90.00 degrees
Fractional coordinates of all 20 atoms:
Dy  0.175  0.325  0.000
Dy  0.325  0.825  0.000
Dy  0.675  0.175  0.000
Dy  0.825  0.675  0.000
In  0.000  0.000  0.000
In  0.500  0.500  0.000
Ge  0.123  0.623  0.000
Ge  0.377  0.123  0.000
Ge  0.623  0.877  0.000
Ge  0.877  0.377  0.000
Rh  0.000  0.500  0.500
Rh  0.069  0.788  0.500
Rh  0.212  0.069  0.500
Rh  0.288  0.569  0.500
Rh  0.431  0.288  0.500
Rh  0.500  0.000  0.500
Rh  0.569  0.712  0.500
Rh  0.712  0.431  0.500
Rh  0.788  0.931  0.500
Rh  0.931  0.212  0.500

Largest 10 diffraction maxima, by angle, 2θ from 10° to 80°:
d (Å)	two_theta	Rel. int.
2.793	32.05	31
2.507	35.82	26
2.387	37.68	51
2.358	38.16	100
2.320	38.81	16
2.201	41.01	20
2.178	41.46	34
1.807	50.52	23
1.441	64.71	21
1.415	66.05	13

---

The following is a theoretical X-ray powder pattern of Dy2Ge4Ir3. It was derived from a cell relaxed with GGA-PBE, using Cu Kα X-rays.

Structure:
Cell lengths 7.850, 6.775, 5.586 Å; angles 78.20, 57.65, 44.15 degrees
Fractional coordinates of all 9 atoms:
Dy  0.131  0.131  0.869
Dy  0.869  0.869  0.131
Ge  0.173  0.506  0.494
Ge  0.494  0.827  0.173
Ge  0.506  0.173  0.827
Ge  0.827  0.494  0.506
Ir  0.000  0.000  0.500
Ir  0.500  0.500  0.000
Ir  0.500  0.500  0.500

Largest 10 diffraction maxima, by angle, 2θ from 10° to 80°:
d (Å)	two_theta	Rel. int.
6.178	14.34	89
3.132	28.50	35
2.422	37.12	28
2.412	37.28	56
2.311	38.96	100
2.255	39.99	32
2.247	40.13	63
2.199	41.04	28
2.067	43.80	32
1.301	72.66	37

---

The following is a theoretical X-ray powder pattern of Dy3Ge13Ir4. It was derived from a cell relaxed with GGA-PBE, using Cu Kα X-rays.

Structure:
Cell lengths 9.043, 9.043, 9.043 Å; angles 90.00, 90.00, 90.00 degrees
Fractional coordinates of all 40 atoms:
Dy  0.000  0.250  0.500
Dy  0.000  0.750  0.500
Dy  0.250  0.500  0.000
Dy  0.500  0.000  0.250
Dy  0.500  0.000  0.750
Dy  0.750  0.500  0.000
Ge  0.000  0.000  0.000
Ge  0.000  0.308  0.145
Ge  0.000  0.308  0.855
Ge  0.000  0.692  0.145
Ge  0.000  0.692  0.855
Ge  0.145  0.000  0.308
Ge  0.145  0.000  0.692
Ge  0.192  0.500  0.355
Ge  0.192  0.500  0.645
Ge  0.308  0.145  0.000
Ge  0.308  0.855  0.000
Ge  0.355  0.192  0.500
Ge  0.355  0.808  0.500
Ge  0.500  0.355  0.192
Ge  0.500  0.355  0.808
Ge  0.500  0.500  0.500
Ge  0.500  0.645  0.192
Ge  0.500  0.645  0.808
Ge  0.645  0.192  0.500
Ge  0.645  0.808  0.500
Ge  0.692  0.145  0.000
Ge  0.692  0.855  0.000
Ge  0.808  0.500  0.355
Ge  0.808  0.500  0.645
Ge  0.855  0.000  0.308
Ge  0.855  0.000  0.692
Ir  0.250  0.250  0.250
Ir  0.250  0.250  0.750
Ir  0.250  0.750  0.250
Ir  0.250  0.750  0.750
Ir  0.750  0.250  0.250
Ir  0.750  0.250  0.750
Ir  0.750  0.750  0.250
Ir  0.750  0.750  0.750

Largest 10 diffraction maxima, by angle, 2θ from 10° to 80°:
d (Å)	two_theta	Rel. int.
4.522	19.63	46
3.197	27.90	27
2.611	34.35	56
2.508	35.80	100
2.417	37.20	40
2.261	39.87	55
2.022	44.82	40
1.846	49.37	52
1.599	57.66	22
1.363	68.87	39